# 1
Computed X-ray powder pattern
Compound: PrPt5
Radiation: Cu Kα, 1.54184 Å
Structure: a structure optimized by DFT (PBE)
Intensities are scaled so that the largest is 100.

Cell and atoms:
a = 5.445 Å, b = 5.445 Å, c = 4.436 Å
α = 90.00°, β = 90.00°, γ = 120.00°
Atoms (fractional coordinates):
Pr: 0.000 0.000 0.000
Pt: 0.000 0.500 0.500
Pt: 0.333 0.667 0.000
Pt: 0.500 0.000 0.500
Pt: 0.500 0.500 0.500
Pt: 0.667 0.333 0.000

Top 12 peaks for 2θ = 10–90°, by intensity:
two_theta  I_rel
38.81  100
43.47  56
40.68  34
18.82  34
38.17  28
83.29  27
62.71  25
68.99  22
57.01  18
32.90  17
72.79  16
75.97  11


# 2
Computed X-ray powder pattern
Compound: MgSi2
Radiation: Cu Kα, 1.54184 Å
Structure: a structure optimized by DFT (PBE)
Intensities are scaled so that the largest is 100.

Cell and atoms:
a = 6.253 Å, b = 3.880 Å, c = 9.278 Å
α = 90.00°, β = 102.30°, γ = 90.00°
Atoms (fractional coordinates):
Mg: 0.000 0.000 0.000
Mg: 0.239 0.000 0.686
Mg: 0.504 0.500 0.506
Mg: 0.757 0.500 0.195
Si: 0.012 0.500 0.498
Si: 0.080 0.000 0.357
Si: 0.229 0.500 0.172
Si: 0.319 0.500 0.928
Si: 0.441 0.000 0.283
Si: 0.560 0.000 0.961
Si: 0.680 0.000 0.729
Si: 0.918 0.500 0.741

Top 12 peaks for 2θ = 10–90°, by intensity:
two_theta  I_rel
40.45  100
37.73  92
46.83  55
31.64  39
44.08  36
37.11  34
27.89  31
39.78  24
31.83  22
19.17  19
70.08  18
37.47  17


# 3
Computed X-ray powder pattern
Compound: Ca2AlAgO5
Radiation: Cu Kα, 1.54184 Å
Structure: a structure optimized by DFT (PBE)
Intensities are scaled so that the largest is 100.

Cell and atoms:
a = 5.417 Å, b = 5.670 Å, c = 8.669 Å
α = 109.06°, β = 105.85°, γ = 90.02°
Atoms (fractional coordinates):
Ca: 0.000 0.000 0.000
Ca: 0.215 0.256 0.514
Ca: 0.500 0.454 0.000
Ca: 0.716 0.712 0.514
Al: 0.108 0.670 0.255
Al: 0.608 0.040 0.255
Ag: 0.347 0.853 0.755
Ag: 0.847 0.355 0.755
O: 0.030 0.041 0.685
O: 0.114 0.603 0.441
O: 0.174 0.592 0.821
O: 0.431 0.762 0.255
O: 0.446 0.108 0.072
O: 0.530 0.096 0.685
O: 0.614 0.291 0.441
O: 0.674 0.682 0.823
O: 0.931 0.946 0.255
O: 0.946 0.418 0.072

Top 12 peaks for 2θ = 10–90°, by intensity:
two_theta  I_rel
11.28  100
31.79  88
32.83  87
46.39  46
33.11  44
22.70  43
31.56  42
25.10  29
42.16  21
46.30  21
56.34  21
57.66  20


# 4
Computed X-ray powder pattern
Compound: PbClF
Radiation: Cu Kα, 1.54184 Å
Structure: a structure optimized by DFT (PBE)
Intensities are scaled so that the largest is 100.

Cell and atoms:
a = 5.059 Å, b = 5.059 Å, c = 6.274 Å
α = 90.00°, β = 90.00°, γ = 90.00°
Atoms (fractional coordinates):
Pb: 0.250 0.250 0.248
Pb: 0.750 0.750 0.752
Cl: 0.250 0.750 0.000
Cl: 0.750 0.250 0.000
F: 0.250 0.250 0.601
F: 0.750 0.750 0.399

Top 12 peaks for 2θ = 10–90°, by intensity:
two_theta  I_rel
22.58  100
42.48  41
38.16  40
24.89  38
35.49  30
47.02  20
60.26  19
65.50  16
46.10  12
68.53  10
51.07  10
28.45  10


# 5
Computed X-ray powder pattern
Compound: K2NaPdF6
Radiation: Cu Kα, 1.54184 Å
Structure: a structure optimized by DFT (PBE)
Intensities are scaled so that the largest is 100.

Cell and atoms:
a = 6.085 Å, b = 6.085 Å, c = 6.085 Å
α = 60.00°, β = 60.00°, γ = 60.00°
Atoms (fractional coordinates):
K: 0.250 0.250 0.250
K: 0.750 0.750 0.750
Na: 0.000 0.000 0.000
Pd: 0.500 0.500 0.500
F: 0.261 0.261 0.739
F: 0.261 0.739 0.261
F: 0.261 0.739 0.739
F: 0.739 0.261 0.261
F: 0.739 0.261 0.739
F: 0.739 0.739 0.261

Top 12 peaks for 2θ = 10–90°, by intensity:
two_theta  I_rel
29.35  100
41.99  63
17.85  63
52.06  38
60.89  36
20.64  32
34.57  27
84.19  19
69.02  17
47.23  14
55.48  12
64.01  11


# 6
Computed X-ray powder pattern
Compound: U2B6Os
Radiation: Cu Kα, 1.54184 Å
Structure: a structure optimized by DFT (PBE)
Intensities are scaled so that the largest is 100.

Cell and atoms:
a = 9.316 Å, b = 11.396 Å, c = 3.592 Å
α = 90.00°, β = 90.00°, γ = 90.00°
Atoms (fractional coordinates):
U: 0.043 0.104 0.000
U: 0.163 0.407 0.000
U: 0.337 0.907 0.000
U: 0.457 0.604 0.000
U: 0.543 0.396 0.000
U: 0.663 0.093 0.000
U: 0.837 0.593 0.000
U: 0.957 0.896 0.000
B: 0.015 0.281 0.500
B: 0.049 0.566 0.500
B: 0.145 0.960 0.500
B: 0.146 0.811 0.500
B: 0.195 0.227 0.500
B: 0.242 0.576 0.500
B: 0.258 0.076 0.500
B: 0.305 0.727 0.500
B: 0.354 0.311 0.500
B: 0.355 0.460 0.500
B: 0.451 0.066 0.500
B: 0.485 0.781 0.500
B: 0.515 0.219 0.500
B: 0.549 0.934 0.500
B: 0.645 0.540 0.500
B: 0.646 0.689 0.500
B: 0.695 0.273 0.500
B: 0.742 0.924 0.500
B: 0.758 0.424 0.500
B: 0.805 0.773 0.500
B: 0.854 0.189 0.500
B: 0.855 0.040 0.500
B: 0.951 0.434 0.500
B: 0.985 0.719 0.500
Os: 0.145 0.680 0.000
Os: 0.355 0.180 0.000
Os: 0.645 0.820 0.000
Os: 0.855 0.320 0.000

Top 12 peaks for 2θ = 10–90°, by intensity:
two_theta  I_rel
24.78  100
39.15  58
29.82  50
39.58  49
30.36  40
41.59  34
32.86  28
40.41  27
31.40  23
66.12  20
50.83  20
60.07  18